For MgNi4O4F8, a cell relaxed with PBE+U gives the calculated PXRD pattern in this record (λ = 1.5418 Å (Cu Kα)).
No peak broadening, texture or thermal motion is included.

Largest 6 diffraction maxima, sorted by position, 2θ from 10° to 90°:
- d 7.041, 12.57°, rel. 54
- d 3.903, 22.78°, rel. 96
- d 3.515, 25.34°, rel. 100
- d 3.426, 26.01°, rel. 45
- d 2.347, 38.35°, rel. 49
- d 1.952, 46.53°, rel. 24

Cell and atoms:
Unit cell a=3.9881 b=7.8238 c=7.8428 alpha=116.07 beta=91.22 gamma=90.73
Space group P1 (No. 1)
Inequivalent atoms, fractional coordinates:
Mg1 0.0000 0.0000 0.0000 [1 per cell]
Ni1 0.1272 0.8687 0.3408 [1 per cell]
Ni2 0.2182 0.3877 0.3543 [1 per cell]
Ni3 0.6343 0.0242 0.6749 [1 per cell]
Ni4 0.7348 0.5212 0.6977 [1 per cell]
O1 0.0354 0.7636 0.0583 [1 per cell]
O2 0.2895 0.2567 0.0556 [1 per cell]
O3 0.4854 0.0969 0.9767 [1 per cell]
O4 0.8387 0.6087 0.9787 [1 per cell]
F1 0.1271 0.1027 0.2776 [1 per cell]
F2 0.1400 0.0038 0.6367 [1 per cell]
F3 0.1803 0.6246 0.3406 [1 per cell]
F4 0.2278 0.5147 0.6449 [1 per cell]
F5 0.6326 0.9054 0.3891 [1 per cell]
F6 0.6587 0.2805 0.7109 [1 per cell]
F7 0.7113 0.3978 0.4033 [1 per cell]
F8 0.7617 0.8134 0.7610 [1 per cell]